Simulated XRD peak list
Compound: CaCo3Rh4O12
Radiation: Cu Kα (λ = 1.5418 Å)
Structure: a cell relaxed with PBE+U

Structure:
Cell: 7.506 7.506 7.506 Å, 90.00 90.00 90.00°
Space group Im-3 (No. 204)
Unique sites:
Ca 0.000 0.000 0.000 (multiplicity 2)
Co 0.000 0.000 0.500 (multiplicity 6)
Rh 0.250 0.250 0.250 (multiplicity 8)
O 0.000 0.169 0.315 (multiplicity 24)

The 10 most intense peaks (2θ = 10–90°), by angle:
| 2theta | I_rel | (hkl) |
| --- | --- | --- |
| 23.7 | 15 | 2 0 0 |
| 33.8 | 100 | 2 2 0 |
| 37.9 | 3 | 3 1 0 |
| 48.5 | 23 | 4 0 0 |
| 54.7 | 8 | 4 0 2 |
| 60.4 | 47 | 4 2 2 |
| 71.0 | 12 | 4 4 0 |
| 76.1 | 2 | 4 4 2 |
| 81.0 | 17 | 6 0 2 |
| 85.9 | 2 | 6 2 2 |